Structure and simulated X-ray powder pattern of Co3NiSb12 (DFT lattice parameters and positions (GGA-PBE); λ = 1.5418 Å (Cu Kα)).

Structure:
abc: 7.956 7.956 7.956
angles: 109.54 109.54 109.54
Sites, in units of the cell vectors:
Co: 0.000 0.500 0.500
Co: 0.500 0.000 0.500
Co: 0.500 0.500 0.000
Ni: 0.000 0.000 0.000
Sb: 0.005 0.168 0.344
Sb: 0.167 0.660 0.327
Sb: 0.168 0.344 0.005
Sb: 0.327 0.167 0.660
Sb: 0.340 0.673 0.833
Sb: 0.344 0.005 0.168
Sb: 0.656 0.995 0.832
Sb: 0.660 0.327 0.167
Sb: 0.673 0.833 0.340
Sb: 0.832 0.656 0.995
Sb: 0.833 0.340 0.673
Sb: 0.995 0.832 0.656

Largest 10 diffraction maxima, most intense first, 10° ≤ 2θ ≤ 80°:
2θ = 30.8°, rel. 100.0
2θ = 36.6°, rel. 29.0
2θ = 44.1°, rel. 24.4
2θ = 50.7°, rel. 16.2
2θ = 48.6°, rel. 12.7
2θ = 58.6°, rel. 12.5
2θ = 36.7°, rel. 9.5
2θ = 60.5°, rel. 9.0
2θ = 69.4°, rel. 9.0
2θ = 69.5°, rel. 9.0